Simulated powder diffractogram of Li3Mn3NiO8 for Cu Ka, from a crystal structure in the Materials Project, relaxed with PBE+U.
Intensities are scaled so that the largest is 100.

Principal peaks in the range 15 to 90 degrees two-theta, low angle first:
| 2θ/deg | I_rel |
| --- | --- |
| 18.25 | 100 |
| 34.58 | 13 |
| 36.20 | 25 |
| 37.29 | 11 |
| 41.33 | 24 |
| 44.17 | 42 |
| 61.84 | 11 |
| 62.32 | 12 |

Structure:
```
data_Li3Mn3NiO8
_chemical_formula_sum 'Li3 Mn3 Ni1 O8'
_space_group_name_H-M_alt 'P 1'
_space_group_IT_number 1
_space_group_name_Hall 'P 1'
_cell_length_a 5.971
_cell_length_b 5.971
_cell_length_c 5.810
_cell_angle_alpha 118.63
_cell_angle_beta 118.63
_cell_angle_gamma 58.00
loop_
_atom_site_label
_atom_site_type_symbol
_atom_site_fract_x
_atom_site_fract_y
_atom_site_fract_z
_atom_site_occupancy
Li1 Li 0.000 0.000 0.000 1
Li2 Li 0.000 0.500 0.000 1
Li3 Li 0.500 0.000 0.000 1
Mn1 Mn 0.000 0.500 0.500 1
Mn2 Mn 0.500 0.000 0.500 1
Mn3 Mn 0.500 0.500 0.500 1
Ni1 Ni 0.000 0.000 0.500 1
O1 O 0.230 0.714 0.703 1
O2 O 0.241 0.241 0.261 1
O3 O 0.241 0.241 0.719 1
O4 O 0.286 0.770 0.297 1
O5 O 0.714 0.230 0.703 1
O6 O 0.759 0.759 0.281 1
O7 O 0.759 0.759 0.739 1
O8 O 0.770 0.286 0.297 1
```